# 1
# Li2Cu2Pd5
Computed X-ray powder pattern, Cu Kα, 1.54184 Å. Input: a DFT-relaxed cell (PBE, Alexandria).
Intensities are scaled so that the largest is 100.

Structure:
Cell lengths 8.572, 3.821, 8.202 Å; angles 90.00, 107.70, 90.00 degrees
Space group C2/m (No. 12)
Asymmetric unit:
Li1 0.166 0.000 0.056 [4 per cell]
Cu1 0.167 0.000 0.391 [4 per cell]
Pd1 0.000 0.500 0.500 [2 per cell]
Pd2 0.001 0.500 0.165 [4 per cell]
Pd3 0.171 0.000 0.724 [4 per cell]

The 10 most intense peaks (5 to 70 degrees two-theta), by angle:
| two_theta | I (rel.) | index |
| --- | --- | --- |
| 11.33 | 39 | 0 0 1 |
| 22.76 | 14 | 0 0 2 |
| 25.74 | 16 | 1 1 0 |
| 26.80 | 20 | 1 1 -1 |
| 40.58 | 100 | 1 1 -3 |
| 40.70 | 99 | 3 1 0 |
| 46.73 | 36 | 2 0 3 |
| 47.55 | 63 | 0 2 0 |
| 68.94 | 30 | 2 2 3 |
| 69.52 | 19 | 4 2 -3 |

---

# 2
# Li4CuPd7
Computed X-ray powder pattern, Cu Kα, 1.54184 Å. Input: a DFT-relaxed cell (PBE, Alexandria).
Intensities are scaled so that the largest is 100.

Structure:
Cell lengths 4.860, 4.938, 7.758 Å; angles 92.22, 104.87, 91.29 degrees
Space group P-1 (No. 2)
Asymmetric unit:
Li1 0.128 0.253 0.250 [2 per cell]
Li2 0.372 0.671 0.805 [2 per cell]
Cu1 0.500 0.000 0.500 [1 per cell]
Pd1 0.037 0.258 0.586 [2 per cell]
Pd2 0.215 0.126 0.935 [2 per cell]
Pd3 0.337 0.763 0.191 [2 per cell]
Pd4 0.500 0.500 0.500 [1 per cell]

The 10 most intense peaks (5 to 70 degrees two-theta), by angle:
| two_theta | I (rel.) | index |
| --- | --- | --- |
| 22.03 | 100 | 0 1 1 |
| 37.06 | 56 | 2 0 -1 |
| 38.09 | 34 | 1 -1 2 |
| 40.16 | 32 | 1 1 -3 |
| 43.24 | 23 | 2 1 0 |
| 43.55 | 30 | 1 -2 1 |
| 43.83 | 19 | -2 1 2 |
| 45.12 | 25 | 1 2 -2 |
| 45.32 | 20 | 1 0 3 |
| 47.41 | 18 | 1 0 -4 |

---

# 3
# Li9Cu4Pd
Computed X-ray powder pattern, Cu Kα, 1.54184 Å. Input: a DFT-relaxed cell (PBE, Alexandria).
Intensities are scaled so that the largest is 100.

Structure:
Cell lengths 8.0536, 8.0536, 7.9253 Å; angles 90.00, 90.00, 120.00 degrees
Space group P6_3/mmc (No. 194)
Asymmetric unit:
Li1 0.0740 0.5370 0.2500 [6 per cell]
Li2 0.1918 0.3835 0.5550 [12 per cell]
Cu1 0.0000 0.0000 0.0000 [2 per cell]
Cu2 0.1061 0.2122 0.2500 [6 per cell]
Pd1 0.3333 0.6667 0.7500 [2 per cell]

The 10 most intense peaks (5 to 70 degrees two-theta), by angle:
| two_theta | I (rel.) | index |
| --- | --- | --- |
| 12.69 | 100 | 1 0 0 |
| 16.93 | 34 | 1 0 1 |
| 22.07 | 51 | 1 1 0 |
| 22.44 | 29 | 0 0 2 |
| 27.95 | 63 | 2 0 1 |
| 40.43 | 25 | 3 0 1 |
| 41.13 | 57 | 2 1 2 |
| 42.95 | 26 | 2 0 3 |
| 48.44 | 35 | 3 1 1 |
| 59.20 | 18 | 3 1 3 |

---

What is the formula in the first record? Li2Cu2Pd5